Record 1
Diffraction record for In12Sn2Bi. The powder X-ray diffraction pattern is calculated, not measured: it uses the PBE geometry in Alexandria and Cu Ka.
Peak positions follow from Bragg's law for the DFT cell and can differ from measured ones.

Main lines, sorted by position (2θ from 10° to 90°):
31.85°, rel. 100.0, hkl 0 3 2
32.46°, rel. 98.5, hkl 0 2 -4
33.00°, rel. 93.9, hkl 2 0 -3
33.90°, rel. 85.2, hkl 2 1 3
34.31°, rel. 85.0, hkl 2 -2 1
39.75°, rel. 55.7, hkl 2 3 -1
39.91°, rel. 51.7, hkl 0 1 6
51.73°, rel. 25.3, hkl 0 5 -2
52.60°, rel. 22.2, hkl -2 3 5
54.64°, rel. 20.3, hkl 2 -1 7
55.23°, rel. 20.5, hkl 4 1 0
66.56°, rel. 22.7, hkl 2 6 1

Cell and atoms:
a = 6.7235 Å, b = 9.1696 Å, c = 13.9438 Å
α = 89.31°, β = 89.60°, γ = 87.84°
Space group P-1 (No. 2)
Asymmetric unit:
In 0.0111 0.4501 0.3565
In 0.0479 0.3106 0.0305
In 0.1033 0.0523 0.4038
In 0.1544 0.9408 0.0910
In 0.1646 0.8028 0.7760
In 0.2340 0.5568 0.1641
In 0.2706 0.4419 0.8463
In 0.3524 0.0635 0.8941
In 0.3838 0.9127 0.5834
In 0.4236 0.8163 0.2967
In 0.4503 0.6943 0.9749
In 0.4841 0.5567 0.6546
Sn 0.0620 0.1970 0.7242
Sn 0.3314 0.1900 0.2170
Bi 0.2807 0.3127 0.5285



Record 2
Diffraction record for Ho3Pa2Ru4. The powder X-ray diffraction pattern is calculated, not measured: it uses the PBE geometry in Alexandria and Cu Ka.
Peak positions follow from Bragg's law for the DFT cell and can differ from measured ones.

Main lines, sorted by position (2θ from 10° to 90°):
27.71°, rel. 51.0, hkl 2 2 -1
32.11°, rel. 100.0, hkl 1 1 -3
33.08°, rel. 69.1, hkl 0 4 0
34.39°, rel. 50.8, hkl 1 3 2
35.20°, rel. 73.0, hkl 3 1 1
40.01°, rel. 49.3, hkl 1 3 -3
40.21°, rel. 20.7, hkl 2 4 -1
42.60°, rel. 36.4, hkl 3 3 1
45.32°, rel. 36.6, hkl 4 0 -2
48.27°, rel. 30.3, hkl 2 0 4
57.24°, rel. 26.7, hkl 4 4 -2
59.77°, rel. 23.5, hkl 2 4 4

Cell and atoms:
a = 8.5574 Å, b = 10.8313 Å, c = 8.9065 Å
α = 90.00°, β = 96.00°, γ = 90.00°
Space group C2/c (No. 15)
Asymmetric unit:
Ho 0.0000 0.1173 0.2500
Ho 0.2070 0.1439 0.6481
Pa 0.1018 0.3598 0.9442
Ru 0.1203 0.0987 0.9561
Ru 0.1683 0.4162 0.6367



Record 3
Diffraction record for MgTl2HgI6. The powder X-ray diffraction pattern is calculated, not measured: it uses the PBE geometry in Alexandria and Cu Ka.
Peak positions follow from Bragg's law for the DFT cell and can differ from measured ones.

Main lines, sorted by position (2θ from 10° to 90°):
19.50°, rel. 100.0, hkl 0 1 1
22.62°, rel. 50.2, hkl 0 0 2
24.27°, rel. 87.0, hkl 1 -2 1
24.43°, rel. 43.6, hkl -2 1 2
26.00°, rel. 46.2, hkl 2 0 -2
29.08°, rel. 31.0, hkl 0 2 -2
29.35°, rel. 24.1, hkl -2 2 2
31.33°, rel. 47.7, hkl 1 1 1
36.48°, rel. 40.8, hkl 3 -2 0
37.61°, rel. 49.6, hkl 0 3 -1
37.83°, rel. 24.6, hkl -3 3 1
40.68°, rel. 27.2, hkl 2 -1 2

Cell and atoms:
a = 8.2525 Å, b = 8.2572 Å, c = 9.1870 Å
α = 90.54°, β = 116.42°, γ = 119.63°
Space group P1 (No. 1)
Asymmetric unit:
Mg 0.0000 0.0000 0.0000
Tl 0.4076 0.7000 0.1063
Tl 0.4528 0.2214 0.6770
Hg 0.8624 0.4283 0.2902
I 0.1572 0.8012 0.3033
I 0.1789 0.9057 0.8457
I 0.5035 0.3503 0.3070
I 0.5769 0.6677 0.8403
I 0.9401 0.2684 0.8424
I 0.9562 0.1454 0.3019



Record 4
Diffraction record for La6DyTh3. The powder X-ray diffraction pattern is calculated, not measured: it uses the PBE geometry in Alexandria and Cu Ka.
Peak positions follow from Bragg's law for the DFT cell and can differ from measured ones.

Main lines, sorted by position (2θ from 10° to 90°):
17.52°, rel. 19.8, hkl 1 1 0
27.90°, rel. 38.5, hkl 1 1 3
30.60°, rel. 100.0, hkl 3 0 0
35.51°, rel. 15.3, hkl 0 2 4
39.87°, rel. 19.5, hkl 2 1 4
41.88°, rel. 12.4, hkl 4 -2 3
47.56°, rel. 19.8, hkl 4 -3 4
52.74°, rel. 12.3, hkl 4 1 3
54.41°, rel. 30.6, hkl 3 3 0
63.70°, rel. 14.8, hkl 6 0 0
72.34°, rel. 8.9, hkl 7 -3 4
88.52°, rel. 7.7, hkl 6 3 0

Cell and atoms:
a = 10.1236 Å, b = 10.1236 Å, c = 12.3732 Å
α = 90.00°, β = 90.00°, γ = 120.00°
Space group R3 (No. 146, hexagonal axes)
Asymmetric unit:
La 0.9995 0.3229 0.0000
La 0.0021 0.6778 0.5018
Dy 0.0000 0.0000 0.2515
Th 0.0000 0.0000 0.0035
Th 0.0000 0.0000 0.5006
Th 0.0000 0.0000 0.7513



Record 5
Diffraction record for AlGa2Sn. The powder X-ray diffraction pattern is calculated, not measured: it uses the PBE geometry in Alexandria and Cu Ka.
Peak positions follow from Bragg's law for the DFT cell and can differ from measured ones.

Main lines, sorted by position (2θ from 10° to 90°):
22.17°, rel. 23.4, hkl 1 1 1
36.60°, rel. 100.0, hkl 2 2 0
43.21°, rel. 13.2, hkl 3 1 1
52.73°, rel. 17.4, hkl 4 0 0
57.89°, rel. 5.8, hkl 3 3 1
65.90°, rel. 35.6, hkl 4 2 2
70.47°, rel. 4.4, hkl 5 1 1
77.81°, rel. 11.1, hkl 4 4 0
82.12°, rel. 4.6, hkl 5 3 1
89.20°, rel. 16.3, hkl 6 2 0

Cell and atoms:
a = 6.9437 Å, b = 6.9437 Å, c = 6.9437 Å
α = 90.00°, β = 90.00°, γ = 90.00°
Space group Fm-3m (No. 225)
Asymmetric unit:
Al 0.0000 0.0000 0.0000
Ga 0.2500 0.2500 0.2500
Sn 0.0000 0.0000 0.5000



Record 6
Diffraction record for Ce2ErTh6. The powder X-ray diffraction pattern is calculated, not measured: it uses the PBE geometry in Alexandria and Cu Ka.
Peak positions follow from Bragg's law for the DFT cell and can differ from measured ones.

Main lines, sorted by position (2θ from 10° to 90°):
29.25°, rel. 14.1, hkl 1 3 0
31.01°, rel. 100.0, hkl 0 0 3
31.08°, rel. 33.2, hkl 2 0 1
35.98°, rel. 65.6, hkl 1 3 2
43.11°, rel. 10.0, hkl 1 3 3
51.75°, rel. 24.6, hkl 2 0 4
53.01°, rel. 22.1, hkl 0 6 1
56.35°, rel. 18.4, hkl 3 3 2
60.66°, rel. 16.6, hkl 4 0 0
61.53°, rel. 15.2, hkl 1 3 5
68.64°, rel. 10.3, hkl 0 6 4
69.67°, rel. 22.1, hkl 4 0 3

Cell and atoms:
a = 6.1010 Å, b = 10.5861 Å, c = 8.6650 Å
α = 90.00°, β = 90.00°, γ = 90.00°
Space group C222 (No. 21)
Asymmetric unit:
Ce 0.2500 0.2500 0.1674
Er 0.0000 0.0000 0.5000
Th 0.0000 0.3303 0.5000
Th 0.2494 0.4135 0.8356



Copy entry 1 word for word.
Diffraction record for In12Sn2Bi. The powder X-ray diffraction pattern is calculated, not measured: it uses the PBE geometry in Alexandria and Cu Ka.
Peak positions follow from Bragg's law for the DFT cell and can differ from measured ones.

Main lines, sorted by position (2θ from 10° to 90°):
31.85°, rel. 100.0, hkl 0 3 2
32.46°, rel. 98.5, hkl 0 2 -4
33.00°, rel. 93.9, hkl 2 0 -3
33.90°, rel. 85.2, hkl 2 1 3
34.31°, rel. 85.0, hkl 2 -2 1
39.75°, rel. 55.7, hkl 2 3 -1
39.91°, rel. 51.7, hkl 0 1 6
51.73°, rel. 25.3, hkl 0 5 -2
52.60°, rel. 22.2, hkl -2 3 5
54.64°, rel. 20.3, hkl 2 -1 7
55.23°, rel. 20.5, hkl 4 1 0
66.56°, rel. 22.7, hkl 2 6 1

Cell and atoms:
a = 6.7235 Å, b = 9.1696 Å, c = 13.9438 Å
α = 89.31°, β = 89.60°, γ = 87.84°
Space group P-1 (No. 2)
Asymmetric unit:
In 0.0111 0.4501 0.3565
In 0.0479 0.3106 0.0305
In 0.1033 0.0523 0.4038
In 0.1544 0.9408 0.0910
In 0.1646 0.8028 0.7760
In 0.2340 0.5568 0.1641
In 0.2706 0.4419 0.8463
In 0.3524 0.0635 0.8941
In 0.3838 0.9127 0.5834
In 0.4236 0.8163 0.2967
In 0.4503 0.6943 0.9749
In 0.4841 0.5567 0.6546
Sn 0.0620 0.1970 0.7242
Sn 0.3314 0.1900 0.2170
Bi 0.2807 0.3127 0.5285